Computed PXRD pattern of Nb2CoC for a wavelength of 1.5418 Å, from DFT lattice parameters and positions (PBE).
Lines closer than 0.1° are merged.

Structure:
Unit cell a=5.356 b=5.356 c=13.367 alpha=101.85 beta=101.85 gamma=59.88
Fractional coordinates of all 24 atoms:
Nb: 0.038 0.871 0.611
Nb: 0.129 0.962 0.889
Nb: 0.197 0.364 0.093
Nb: 0.300 0.471 0.407
Nb: 0.364 0.197 0.593
Nb: 0.471 0.300 0.907
Nb: 0.529 0.700 0.093
Nb: 0.636 0.803 0.407
Nb: 0.700 0.529 0.593
Nb: 0.803 0.636 0.907
Nb: 0.871 0.038 0.111
Nb: 0.962 0.129 0.389
Co: 0.085 0.380 0.750
Co: 0.380 0.085 0.250
Co: 0.447 0.553 0.250
Co: 0.553 0.447 0.750
Co: 0.620 0.915 0.750
Co: 0.915 0.620 0.250
C: 0.000 0.500 0.500
C: 0.161 0.678 0.000
C: 0.322 0.839 0.500
C: 0.500 0.000 0.000
C: 0.678 0.161 0.500
C: 0.839 0.322 0.000

The 10 most intense peaks (10 to 90 degrees two-theta), in order of rising 2θ:
Position (°2θ), d_spacing, I_rel
27.47, 3.247, 11
33.48, 2.677, 28
34.21, 2.621, 32
39.48, 2.283, 51
39.64, 2.273, 100
41.74, 2.164, 28
43.90, 2.062, 14
59.89, 1.544, 15
67.19, 1.393, 10
70.73, 1.332, 10